Structure and calculated PXRD pattern of Er4In3 (DFT lattice parameters and positions (PBE); a wavelength of 1.5418 Å).
No peak broadening, texture or thermal motion is included.

Crystal structure
Cell lengths 9.930, 9.930, 9.930 Å; angles 29.81, 29.81, 29.81 degrees
Sites, in units of the cell vectors:
Er  0.122  0.122  0.122
Er  0.294  0.294  0.294
Er  0.706  0.706  0.706
Er  0.878  0.878  0.878
In  0.401  0.401  0.401
In  0.500  0.500  0.500
In  0.599  0.599  0.599

Most intense lines, 5° ≤ 2θ ≤ 70°, low angle first:
d 3.757, intensity 17.3; d 3.493, intensity 47.6; d 2.993, intensity 33.3; d 2.555, intensity 100.0; d 2.393, intensity 42.3; d 2.233, intensity 14.7; d 1.746, intensity 16.1; d 1.738, intensity 12.4; d 1.475, intensity 18.1; d 1.442, intensity 16.9